Record 1
Structure and calculated X-ray diffraction stick pattern of AcDy7Er3 (a cell relaxed with PBE; a wavelength of 1.5418 Å).
Neutral-atom scattering factors, no anomalous dispersion.

Structure:
Cell: 6.990 5.582 9.813 Å, 90.00 108.39 90.00°
Space group P2/m (No. 10)
Unique sites:
Ac: 0.000 0.000 0.000 x1
Dy: 0.000 0.000 0.500 x1
Dy: 0.147 0.500 0.789 x2
Dy: 0.334 0.500 0.145 x2
Dy: 0.435 0.000 0.334 x2
Er: 0.274 0.500 0.493 x2
Er: 0.500 0.000 0.000 x1

Principal peaks in the range 2θ from 15° to 90°, by intensity:
32.1°, I = 100; 31.4°, I = 62; 33.0°, I = 45; 31.2°, I = 16; 32.7°, I = 14; 62.8°, I = 11; 59.6°, I = 11; 45.5°, I = 11; 46.5°, I = 10; 52.4°, I = 10

---

Record 2
Structure and calculated X-ray diffraction stick pattern of NdPaSb2N (a cell relaxed with PBE; a wavelength of 1.5418 Å).
Neutral-atom scattering factors, no anomalous dispersion.

Structure:
Cell: 4.009 4.009 16.921 Å, 90.00 90.00 90.00°
Space group P4/nmm (No. 129, origin choice 2)
Unique sites:
Nd: 0.250 0.250 0.141 x2
Pa: 0.250 0.250 0.567 x2
Sb: 0.250 0.250 0.328 x2
Sb: 0.250 0.250 0.941 x2
N: 0.250 0.750 0.500 x2

Principal peaks in the range 2θ from 15° to 90°, by intensity:
34.7°, I = 100; 31.6°, I = 79; 27.3°, I = 46; 58.2°, I = 45; 45.2°, I = 32; 53.6°, I = 14; 74.9°, I = 14; 24.6°, I = 13; 64.1°, I = 13; 30.7°, I = 12

---

Record 3
Structure and calculated X-ray diffraction stick pattern of Ta3B2 (a cell relaxed with PBE; a wavelength of 1.5418 Å).
Neutral-atom scattering factors, no anomalous dispersion.

Structure:
Cell: 6.212 6.212 3.304 Å, 90.00 90.00 90.00°
Space group P4/mbm (No. 127)
Unique sites:
Ta: 0.000 0.000 0.000 x2
Ta: 0.177 0.323 0.500 x4
B: 0.108 0.608 0.000 x4

Principal peaks in the range 2θ from 15° to 90°, by intensity:
39.8°, I = 100; 42.5°, I = 73; 32.2°, I = 67; 34.0°, I = 56; 46.2°, I = 48; 70.3°, I = 33; 41.1°, I = 28; 68.4°, I = 24; 75.1°, I = 23; 55.6°, I = 18

---

Record 4
Structure and calculated X-ray diffraction stick pattern of HfBeIr2 (a cell relaxed with PBE; a wavelength of 1.5418 Å).
Neutral-atom scattering factors, no anomalous dispersion.

Structure:
Cell: 4.165 4.165 3.383 Å, 90.00 90.00 90.00°
Space group P4/mmm (No. 123)
Unique sites:
Hf: 0.000 0.000 0.000 x1
Be: 0.500 0.500 0.000 x1
Ir: 0.000 0.500 0.500 x2

Principal peaks in the range 2θ from 15° to 90°, by intensity:
40.6°, I = 100; 43.5°, I = 41; 77.8°, I = 31; 21.3°, I = 24; 71.9°, I = 19; 34.1°, I = 15; 63.1°, I = 14; 30.3°, I = 13; 87.9°, I = 12; 54.2°, I = 11

---

Record 5
Structure and calculated X-ray diffraction stick pattern of CaCdTc2O8 (a cell relaxed with PBE; a wavelength of 1.5418 Å).
Neutral-atom scattering factors, no anomalous dispersion.

Structure:
Cell: 5.240 5.240 11.704 Å, 90.00 90.00 90.00°
Space group I-4 (No. 82)
Unique sites:
Ca: 0.000 0.000 0.000 x2
Cd: 0.000 0.500 0.250 x2
Tc: 0.000 0.000 0.500 x2
Tc: 0.000 0.500 0.750 x2
O: 0.154 0.250 0.421 x8
O: 0.157 0.745 0.830 x8

Principal peaks in the range 2θ from 15° to 90°, by intensity:
28.5°, I = 100; 46.5°, I = 29; 57.8°, I = 25; 53.1°, I = 16; 34.2°, I = 16; 30.6°, I = 14; 49.2°, I = 13; 75.2°, I = 12; 59.0°, I = 11; 18.6°, I = 9

---

Record 6
Structure and calculated X-ray diffraction stick pattern of Na3BiP4O14 (a cell relaxed with PBE; a wavelength of 1.5418 Å).
Neutral-atom scattering factors, no anomalous dispersion.

Structure:
Cell: 7.718 9.403 9.817 Å, 84.19 68.15 79.06°
Space group P-1 (No. 2)
Unique sites:
Na: 0.005 0.214 0.051 x2
Na: 0.182 0.192 0.333 x2
Na: 0.462 0.300 0.967 x2
Bi: 0.355 0.293 0.622 x2
P: 0.123 0.541 0.173 x2
P: 0.238 0.947 0.610 x2
P: 0.327 0.511 0.378 x2
P: 0.371 0.977 0.854 x2
O: 0.057 0.892 0.703 x2
O: 0.069 0.365 0.813 x2
O: 0.137 0.379 0.156 x2
O: 0.147 0.566 0.328 x2
O: 0.198 0.931 0.977 x2
O: 0.202 0.112 0.572 x2
O: 0.269 0.545 0.540 x2
O: 0.278 0.601 0.044 x2
O: 0.345 0.145 0.841 x2
O: 0.351 0.863 0.469 x2
O: 0.376 0.345 0.366 x2
O: 0.381 0.926 0.698 x2
O: 0.445 0.097 0.132 x2
O: 0.485 0.593 0.275 x2

Principal peaks in the range 2θ from 15° to 90°, by intensity:
21.6°, I = 100; 30.2°, I = 82; 29.2°, I = 65; 21.9°, I = 47; 20.0°, I = 38; 17.0°, I = 36; 33.6°, I = 34; 21.0°, I = 32; 19.0°, I = 31; 39.6°, I = 27